1.
Computed powder diffractogram of TiOF2 for copper Kα, from the PBE geometry in the Materials Project.

Top 10 peaks for 2θ = 10–90°, in order of falling intensity:
2θ (°), I (rel.)
23.38, 100
22.53, 51
47.81, 28
52.22, 18
53.88, 16
45.99, 16
68.51, 15
53.47, 15
32.69, 13
73.49, 11

Structural model:
```
data_TiOF2
_chemical_formula_sum 'Ti2 O2 F4'
_symmetry_space_group_name_H-M 'P 1'
_symmetry_Int_Tables_number 1
_cell_length_a 3.805
_cell_length_b 3.805
_cell_length_c 7.894
_cell_angle_alpha 90.00
_cell_angle_beta 90.00
_cell_angle_gamma 90.00
loop_
_symmetry_equiv_pos_as_xyz
'x,y,z'
loop_
_atom_site_label
_atom_site_fract_x
_atom_site_fract_y
_atom_site_fract_z
_atom_site_occupancy
Ti1 0.000 0.000 0.000 1
Ti2 0.000 0.000 0.500 1
O1 0.000 0.500 0.000 1
O2 0.500 0.000 0.500 1
F1 0.000 0.000 0.250 1
F2 0.000 0.000 0.750 1
F3 0.000 0.500 0.500 1
F4 0.500 0.000 0.000 1
```

2.
Computed powder diffractogram of TiOF2 for copper Kα, from the PBE geometry in the Materials Project.

Top 10 peaks for 2θ = 10–90°, in order of falling intensity:
2θ (°), I (rel.)
22.53, 100
24.06, 50
45.99, 32
52.56, 19
51.79, 16
33.20, 16
69.68, 14
54.82, 13
49.28, 12
74.28, 9

Structural model:
```
data_TiOF2
_chemical_formula_sum 'Ti1 O1 F2'
_symmetry_space_group_name_H-M 'P 1'
_symmetry_Int_Tables_number 1
_cell_length_a 3.947
_cell_length_b 3.947
_cell_length_c 3.698
_cell_angle_alpha 90.00
_cell_angle_beta 90.00
_cell_angle_gamma 90.00
loop_
_symmetry_equiv_pos_as_xyz
'x,y,z'
loop_
_atom_site_label
_atom_site_fract_x
_atom_site_fract_y
_atom_site_fract_z
_atom_site_occupancy
Ti1 0.000 0.000 0.000 1
O1 0.000 0.000 0.500 1
F1 0.000 0.500 0.000 1
F2 0.500 0.000 0.000 1
```

3.
Computed powder diffractogram of TiOF5 for copper Kα, from the PBE geometry in the Materials Project.

Top 10 peaks for 2θ = 10–90°, in order of falling intensity:
2θ (°), I (rel.)
16.38, 100
25.69, 88
18.99, 54
27.26, 52
14.91, 51
27.49, 48
40.64, 35
52.78, 23
37.44, 20
45.79, 18

Structural model:
```
data_TiOF5
_chemical_formula_sum 'Ti4 O4 F20'
_symmetry_space_group_name_H-M 'P 1'
_symmetry_Int_Tables_number 1
_cell_length_a 7.347
_cell_length_b 7.347
_cell_length_c 12.668
_cell_angle_alpha 109.03
_cell_angle_beta 109.03
_cell_angle_gamma 39.87
loop_
_symmetry_equiv_pos_as_xyz
'x,y,z'
loop_
_atom_site_label
_atom_site_fract_x
_atom_site_fract_y
_atom_site_fract_z
_atom_site_occupancy
Ti1 0.135 0.139 0.187 1
Ti2 0.139 0.135 0.687 1
Ti3 0.861 0.865 0.313 1
Ti4 0.865 0.861 0.813 1
O1 0.278 0.527 0.550 1
O2 0.473 0.722 0.950 1
O3 0.527 0.278 0.050 1
O4 0.722 0.473 0.450 1
F1 0.000 0.482 0.787 1
F2 0.000 0.518 0.213 1
F3 0.042 0.729 0.693 1
F4 0.054 0.316 0.568 1
F5 0.191 0.694 0.919 1
F6 0.204 0.718 0.340 1
F7 0.271 0.958 0.807 1
F8 0.282 0.796 0.160 1
F9 0.306 0.809 0.581 1
F10 0.316 0.054 0.068 1
F11 0.482 0.000 0.287 1
F12 0.518 0.000 0.713 1
F13 0.684 0.946 0.932 1
F14 0.694 0.191 0.419 1
F15 0.718 0.204 0.840 1
F16 0.729 0.042 0.193 1
F17 0.796 0.282 0.660 1
F18 0.809 0.306 0.081 1
F19 0.946 0.684 0.432 1
F20 0.958 0.271 0.307 1
```

- Which formula does entry 2 have?
  TiOF2